No. 1
The following is a simulated powder XRD pattern of Yb2CuGe4O12. It was derived from a crystal structure in Alexandria, relaxed with PBE, using a wavelength of 1.5418 Å.
Peak positions follow from Bragg's law for the DFT cell and can differ from measured ones.

Crystal structure
Cell: 4.9194 7.2717 8.0519 Å, 66.86 86.58 75.92°
Fractional positions:
Yb 0.0496 0.2693 0.4520
Yb 0.9504 0.7307 0.5480
Cu 0.0000 0.5000 0.0000
Ge 0.4133 0.8826 0.7986
Ge 0.4538 0.6731 0.2183
Ge 0.5462 0.3269 0.7817
Ge 0.5867 0.1174 0.2014
O 0.2251 0.9189 0.6076
O 0.2299 0.5665 0.3854
O 0.2456 0.2778 0.1832
O 0.2498 0.5087 0.8078
O 0.2513 0.8091 0.0100
O 0.4122 0.1535 0.7199
O 0.5878 0.8465 0.2801
O 0.7487 0.1909 0.9900
O 0.7502 0.4913 0.1922
O 0.7544 0.7222 0.8168
O 0.7701 0.4335 0.6146
O 0.7749 0.0811 0.3924

Peak list (6 most intense, 10° ≤ 2θ ≤ 90°, sorted by position)
2theta, I_rel
12.0, 39
21.8, 35
25.7, 46
27.6, 100
30.0, 41
31.2, 61

No. 2
The following is a simulated powder XRD pattern of Tb4PmHo. It was derived from a crystal structure in Alexandria, relaxed with PBE, using a wavelength of 1.5418 Å.
Peak positions follow from Bragg's law for the DFT cell and can differ from measured ones.

Crystal structure
Cell: 11.8462 3.5621 10.0934 Å, 90.00 115.14 90.00°
Fractional positions:
Tb 0.1665 0.0000 0.3313
Tb 0.1671 0.0000 0.8353
Tb 0.3329 0.5000 0.1647
Tb 0.3335 0.5000 0.6687
Tb 0.6665 0.5000 0.3313
Tb 0.6671 0.5000 0.8353
Tb 0.8329 0.0000 0.1647
Tb 0.8335 0.0000 0.6687
Pm 0.0000 0.5000 0.5000
Pm 0.5000 0.0000 0.5000
Ho 0.0000 0.5000 0.0000
Ho 0.5000 0.0000 0.0000

Peak list (6 most intense, 10° ≤ 2θ ≤ 90°, sorted by position)
2theta, I_rel
30.7, 100
35.6, 51
51.2, 18
51.2, 18
60.8, 18
60.9, 25

No. 3
The following is a simulated powder XRD pattern of Ac3CuSi3. It was derived from a crystal structure in Alexandria, relaxed with PBE, using a wavelength of 1.5418 Å.
Peak positions follow from Bragg's law for the DFT cell and can differ from measured ones.

Crystal structure
Cell: 4.1745 4.6027 19.1040 Å, 90.00 90.00 90.00°
Fractional positions:
Ac 0.0000 0.0000 0.0000
Ac 0.0000 0.0000 0.3658
Ac 0.0000 0.5000 0.6833
Ac 0.5000 0.0000 0.1833
Ac 0.5000 0.5000 0.5000
Ac 0.5000 0.5000 0.8658
Cu 0.0000 0.5000 0.1163
Cu 0.5000 0.0000 0.6163
Si 0.0000 0.0000 0.5519
Si 0.0000 0.0000 0.8162
Si 0.0000 0.5000 0.2409
Si 0.5000 0.0000 0.7409
Si 0.5000 0.5000 0.0519
Si 0.5000 0.5000 0.3162

Peak list (6 most intense, 10° ≤ 2θ ≤ 90°, sorted by position)
2theta, I_rel
19.8, 17
25.5, 42
30.4, 100
47.3, 17
48.1, 26
53.9, 16

No. 4
The following is a simulated powder XRD pattern of Li2Cd4Hg5. It was derived from a crystal structure in Alexandria, relaxed with PBE, using a wavelength of 1.5418 Å.
Peak positions follow from Bragg's law for the DFT cell and can differ from measured ones.

Crystal structure
Cell: 7.0682 18.1461 3.8311 Å, 90.00 90.00 90.00°
Fractional positions:
Li 0.0536 0.2036 0.0000
Li 0.4464 0.7036 0.0000
Li 0.5536 0.2964 0.0000
Li 0.9464 0.7964 0.0000
Cd 0.0503 0.6414 0.0000
Cd 0.1843 0.9511 0.0000
Cd 0.3157 0.4511 0.0000
Cd 0.4497 0.1414 0.0000
Cd 0.5503 0.8586 0.0000
Cd 0.6843 0.5489 0.0000
Cd 0.8157 0.0489 0.0000
Cd 0.9497 0.3586 0.0000
Hg 0.0000 0.5000 0.5000
Hg 0.1278 0.0964 0.5000
Hg 0.2443 0.7903 0.5000
Hg 0.2557 0.2903 0.5000
Hg 0.3722 0.5964 0.5000
Hg 0.5000 0.0000 0.5000
Hg 0.6278 0.4036 0.5000
Hg 0.7443 0.7097 0.5000
Hg 0.7557 0.2097 0.5000
Hg 0.8722 0.9036 0.5000

Peak list (6 most intense, 10° ≤ 2θ ≤ 90°, sorted by position)
2theta, I_rel
23.2, 46
30.4, 59
32.2, 63
33.1, 100
36.0, 72
37.7, 46

No. 5
The following is a simulated powder XRD pattern of CdSeO3. It was derived from a crystal structure in Alexandria, relaxed with PBE, using a wavelength of 1.5418 Å.
Peak positions follow from Bragg's law for the DFT cell and can differ from measured ones.

Crystal structure
Cell: 6.4235 8.3201 5.3728 Å, 90.00 90.00 90.00°
Fractional positions:
Cd 0.0000 0.0000 0.0000
Cd 0.0000 0.5000 0.0000
Cd 0.5000 0.0000 0.5000
Cd 0.5000 0.5000 0.5000
Se 0.0321 0.2500 0.4835
Se 0.4679 0.7500 0.9835
Se 0.5321 0.2500 0.0165
Se 0.9679 0.7500 0.5165
O 0.0929 0.2500 0.7983
O 0.1764 0.0881 0.3676
O 0.1764 0.4119 0.3676
O 0.3236 0.5881 0.8676
O 0.3236 0.9119 0.8676
O 0.4071 0.7500 0.2983
O 0.5929 0.2500 0.7017
O 0.6764 0.0881 0.1324
O 0.6764 0.4119 0.1324
O 0.8236 0.5881 0.6324
O 0.8236 0.9119 0.6324
O 0.9071 0.7500 0.2017

Peak list (6 most intense, 10° ≤ 2θ ≤ 90°, sorted by position)
2theta, I_rel
27.8, 29
30.5, 100
33.4, 18
43.9, 18
50.9, 25
57.9, 19

No. 6
The following is a simulated powder XRD pattern of Pr4Ag5Sb7. It was derived from a crystal structure in Alexandria, relaxed with PBE, using a wavelength of 1.5418 Å.
Peak positions follow from Bragg's law for the DFT cell and can differ from measured ones.

Crystal structure
Cell: 11.6882 11.6882 11.6882 Å, 149.32 149.32 43.95°
Fractional positions:
Pr 0.1242 0.6373 0.0000
Pr 0.3627 0.3627 0.4870
Pr 0.6373 0.1242 0.0000
Pr 0.8758 0.8758 0.5130
Ag 0.2483 0.2483 0.0000
Ag 0.2500 0.7500 0.5000
Ag 0.5000 0.5000 0.0000
Ag 0.7500 0.2500 0.5000
Ag 0.7517 0.7517 0.0000
Sb 0.0000 0.0000 0.0000
Sb 0.0000 0.5000 0.5000
Sb 0.0944 0.0944 0.5116
Sb 0.4171 0.9056 0.0000
Sb 0.5000 0.0000 0.5000
Sb 0.5829 0.5829 0.4884
Sb 0.9056 0.4171 0.0000

Peak list (6 most intense, 10° ≤ 2θ ≤ 90°, sorted by position)
2theta, I_rel
26.2, 13
33.1, 15
33.4, 100
41.3, 34
53.9, 14
70.2, 22

No. 7
The following is a simulated powder XRD pattern of Li6TlHg2. It was derived from a crystal structure in Alexandria, relaxed with PBE, using a wavelength of 1.5418 Å.
Peak positions follow from Bragg's law for the DFT cell and can differ from measured ones.

Crystal structure
Cell: 3.1940 8.0051 8.0051 Å, 121.03 90.00 90.00°
Fractional positions:
Li 0.0000 0.0000 0.0000
Li 0.0000 0.4060 0.7047
Li 0.0000 0.7047 0.4060
Li 0.5000 0.0716 0.7034
Li 0.5000 0.3305 0.3305
Li 0.5000 0.7034 0.0716
Tl 0.5000 0.7000 0.7000
Hg 0.0000 0.0356 0.3691
Hg 0.0000 0.3691 0.0356

Peak list (6 most intense, 10° ≤ 2θ ≤ 90°, sorted by position)
2theta, I_rel
22.2, 100
22.6, 48
30.9, 62
38.5, 24
39.4, 27
45.3, 16

No. 8
The following is a simulated powder XRD pattern of K2TlFeBr6. It was derived from a crystal structure in Alexandria, relaxed with PBE, using a wavelength of 1.5418 Å.
Peak positions follow from Bragg's law for the DFT cell and can differ from measured ones.

Crystal structure
Cell: 7.5958 7.9192 13.2321 Å, 90.00 124.36 90.00°
Fractional positions:
K 0.2213 0.0768 0.2450
K 0.2213 0.4232 0.7450
K 0.7787 0.5768 0.2550
K 0.7787 0.9232 0.7550
Tl 0.5000 0.0000 0.0000
Tl 0.5000 0.5000 0.5000
Fe 0.0000 0.0000 0.5000
Fe 0.0000 0.5000 0.0000
Br 0.1085 0.2355 0.9505
Br 0.1085 0.2645 0.4505
Br 0.2160 0.6651 0.9498
Br 0.2160 0.8349 0.4498
Br 0.3108 0.0207 0.7136
Br 0.3108 0.4793 0.2136
Br 0.6892 0.5207 0.7864
Br 0.6892 0.9793 0.2864
Br 0.7840 0.1651 0.5502
Br 0.7840 0.3349 0.0502
Br 0.8915 0.7355 0.5495
Br 0.8915 0.7645 0.0495

Peak list (6 most intense, 10° ≤ 2θ ≤ 90°, sorted by position)
2theta, I_rel
16.2, 100
26.6, 26
27.2, 58
32.7, 34
32.8, 20
41.1, 19

No. 9
The following is a simulated powder XRD pattern of AcEr2Tl2Zn2. It was derived from a crystal structure in Alexandria, relaxed with PBE, using a wavelength of 1.5418 Å.
Peak positions follow from Bragg's law for the DFT cell and can differ from measured ones.

Crystal structure
Cell: 9.6187 9.6187 9.6187 Å, 29.46 29.46 29.46°
Fractional positions:
Ac 0.0000 0.0000 0.0000
Er 0.1356 0.1356 0.1356
Er 0.8644 0.8644 0.8644
Tl 0.2584 0.2584 0.2584
Tl 0.7416 0.7416 0.7416
Zn 0.4452 0.4452 0.4452
Zn 0.5548 0.5548 0.5548

Peak list (6 most intense, 10° ≤ 2θ ≤ 90°, sorted by position)
2theta, I_rel
21.2, 26
24.7, 23
31.0, 81
33.5, 58
36.7, 100
48.8, 23

No. 10
The following is a simulated powder XRD pattern of Pm3Dy8Pu. It was derived from a crystal structure in Alexandria, relaxed with PBE, using a wavelength of 1.5418 Å.
Peak positions follow from Bragg's law for the DFT cell and can differ from measured ones.

Crystal structure
Cell: 8.3596 8.3596 8.3596 Å, 117.48 117.48 94.43°
Fractional positions:
Pm 0.0000 0.0000 0.0000
Pm 0.2500 0.7500 0.5000
Pm 0.7500 0.2500 0.5000
Dy 0.1415 0.3928 0.0000
Dy 0.2381 0.2381 0.5393
Dy 0.3012 0.7619 0.0000
Dy 0.3928 0.1415 0.0000
Dy 0.6072 0.6072 0.7487
Dy 0.6988 0.6988 0.4607
Dy 0.7619 0.3012 0.0000
Dy 0.8585 0.8585 0.2513
Pu 0.5000 0.5000 0.0000

Peak list (6 most intense, 10° ≤ 2θ ≤ 90°, sorted by position)
2theta, I_rel
14.4, 39
24.2, 50
29.1, 72
31.5, 52
36.4, 100
44.7, 42